Theoretical powder diffraction line list of BaErW2O8 for Cu Kα (λ = 1.5418 Å), from a crystal structure in Alexandria, relaxed with GGA+U.
Peak positions follow from Bragg's law for the DFT cell and can differ from measured ones.

Peak list (8 most intense, 10 to 90 degrees two-theta, by angle)
20.77°, 4.276 Å, I 100
29.37°, 3.041 Å, I 70
29.71°, 3.007 Å, I 75
40.04°, 2.252 Å, I 15
42.27°, 2.138 Å, I 34
47.78°, 1.904 Å, I 22
52.52°, 1.742 Å, I 29
58.01°, 1.590 Å, I 22

Cell: 6.0132 6.0132 7.4932 Å, 90.00 90.00 120.00°
Space group P-3m1 (No. 164)
One atom of each set of equivalent atoms:
Ba: 0.0000 0.0000 0.0000 [1 per cell]
Er: 0.0000 0.0000 0.5000 [1 per cell]
W: 0.3333 0.6667 0.7676 [2 per cell]
O: 0.1635 0.3270 0.6922 [6 per cell]
O: 0.3333 0.6667 0.0092 [2 per cell]